The following is a computed XRD peak list of Zn2TeO. It was derived from a crystal structure in the Materials Project, relaxed with PBE, using Cu Kα X-rays.

Largest 12 diffraction maxima, in order of rising 2θ, 2θ = 10–90°:
(0 0 3), d 6.435, 13.8 deg, rel. 21
(1 0 1), d 3.252, 27.4 deg, rel. 23
(0 0 6), d 3.218, 27.7 deg, rel. 20
(0 1 2), d 3.122, 28.6 deg, rel. 100
(0 1 5), d 2.508, 35.8 deg, rel. 38
(1 0 7), d 2.116, 42.7 deg, rel. 38
(0 1 8), d 1.948, 46.6 deg, rel. 25
(1 1 0), d 1.905, 47.7 deg, rel. 45
(1 1 6), d 1.639, 56.1 deg, rel. 15
(2 0 2), d 1.626, 56.6 deg, rel. 14
(0 2 7), d 1.416, 66.0 deg, rel. 10
(1 2 2), d 1.237, 77.1 deg, rel. 11

Atomic structure:
Cell: 3.8099 3.8099 19.3062 Å, 90.00 90.00 120.00°
Space group R3m (No. 160, hexagonal axes)
One atom of each set of equivalent atoms:
Zn  0.0000  0.0000  0.0000 x3
Zn  0.0000  0.0000  0.4571 x3
Te  0.0000  0.0000  0.5965 x3
O  0.0000  0.0000  0.1014 x3